Structure and calculated XRD peak list of SmZn2GeAu2 (a PBE-relaxed structure; Cu Kα).
No peak broadening, texture or thermal motion is included.

Atomic structure:
```
SmZn2GeAu2
1.0
4.716 0.000 0.000
0.000 4.716 0.000
0.000 0.000 5.765
Sm Zn Ge Au
1 2 1 2
Direct
0.000 0.000 0.000 Sm
0.000 0.500 0.500 Zn
0.500 0.000 0.500 Zn
0.000 0.000 0.500 Ge
0.500 0.500 0.235 Au
0.500 0.500 0.765 Au
```

Peak list (8 most intense, 2θ from 10° to 90°, sorted by position)
hkl	2theta	d [Å]	I_rel
1 0 0	18.82	4.716	18
1 1 0	26.73	3.335	67
1 1 1	30.98	2.886	26
1 0 2	36.54	2.459	100
2 0 0	38.17	2.358	69
2 1 2	53.86	1.702	66
2 2 0	55.08	1.667	25
3 2 2	80.68	1.191	22